(1)
Structure and computed powder diffractogram of RbZr3Te5 (a PBE-relaxed structure; λ = 1.5418 Å (Cu Kα)).
Peak positions follow from Bragg's law for the DFT cell and can differ from measured ones.

Most intense lines, 5° ≤ 2θ ≤ 70°, in order of rising 2θ:
10.35 deg, intensity 56; 26.35 deg, intensity 68; 27.92 deg, intensity 85; 34.05 deg, intensity 31; 35.07 deg, intensity 34; 38.77 deg, intensity 100; 42.31 deg, intensity 22; 48.45 deg, intensity 25; 51.46 deg, intensity 27; 57.69 deg, intensity 28

Structural model:
Unit cell a=6.3918 b=6.3918 c=8.5442 alpha=90.00 beta=90.00 gamma=120.00
Fractional coordinates of all 9 atoms:
Rb  0.0000  0.0000  0.0000
Zr  0.0000  0.5000  0.5000
Zr  0.5000  0.0000  0.5000
Zr  0.5000  0.5000  0.5000
Te  0.0000  0.0000  0.5000
Te  0.3333  0.6667  0.2349
Te  0.3333  0.6667  0.7651
Te  0.6667  0.3333  0.2349
Te  0.6667  0.3333  0.7651


(2)
Structure and computed powder diffractogram of Cu7Ag3 (a PBE-relaxed structure; λ = 1.5418 Å (Cu Kα)).
Peak positions follow from Bragg's law for the DFT cell and can differ from measured ones.

Most intense lines, 5° ≤ 2θ ≤ 70°, in order of rising 2θ:
12.46 deg, intensity 6; 25.07 deg, intensity 2; 29.33 deg, intensity 5; 38.02 deg, intensity 3; 40.62 deg, intensity 100; 41.16 deg, intensity 3; 42.41 deg, intensity 28; 47.79 deg, intensity 60; 59.42 deg, intensity 2; 68.64 deg, intensity 19

Structural model:
Unit cell a=21.3740 b=21.3740 c=21.3740 alpha=7.34 beta=7.34 gamma=7.34
Fractional coordinates of all 10 atoms:
Cu  0.0000  0.0000  0.0000
Cu  0.1015  0.1015  0.1015
Cu  0.2016  0.2016  0.2016
Cu  0.3024  0.3024  0.3024
Cu  0.6976  0.6976  0.6976
Cu  0.7984  0.7984  0.7984
Cu  0.8985  0.8985  0.8985
Ag  0.3998  0.3998  0.3998
Ag  0.5000  0.5000  0.5000
Ag  0.6002  0.6002  0.6002